Entry 1:
The following is a theoretical powder diffractogram of CdGa2O4. It was derived from a PBE-relaxed structure, using Cu Kα (weighted mean of Kα1 and Kα2).

Top 8 peaks for 5° ≤ 2θ ≤ 70°, sorted by position:
h k l  two_theta  d (Å)  I (rel.)
1 0 0  20.2  4.397  32
1 0 1  26.3  3.385  34
1 1 1  33.4  2.682  100
0 0 2  33.8  2.651  14
2 0 0  41.1  2.198  15
2 0 2  54.2  1.692  31
1 1 3  60.2  1.536  17
3 1 1  69.9  1.345  21

Structure:
abc: 4.397 4.397 5.302
angles: 90.00 90.00 90.00
Sites, in units of the cell vectors:
1 Cd 0.000 0.000 0.000
2 Ga 0.000 0.500 0.500
3 Ga 0.500 0.000 0.500
4 O 0.250 0.250 0.301
5 O 0.250 0.750 0.699
6 O 0.750 0.250 0.699
7 O 0.750 0.750 0.301

Entry 2:
The following is a theoretical powder diffractogram of CdGa2O4. It was derived from a PBE-relaxed structure, using Cu Kα (weighted mean of Kα1 and Kα2).

Top 8 peaks for 5° ≤ 2θ ≤ 70°, sorted by position:
h k l  two_theta  d (Å)  I (rel.)
0 1 1  30.8  2.900  20
0 0 4  33.3  2.687  45
3 0 2  33.5  2.677  100
2 1 0  35.5  2.527  58
1 1 3  40.3  2.237  44
2 1 4  49.5  1.840  21
4 1 1  50.4  1.810  19
4 1 4  61.2  1.515  22

Structure:
abc: 9.264 3.012 10.748
angles: 90.00 90.00 90.00
Sites, in units of the cell vectors:
1 Cd 0.243 0.250 0.153
2 Cd 0.257 0.750 0.653
3 Cd 0.743 0.250 0.347
4 Cd 0.757 0.750 0.847
5 Ga 0.064 0.250 0.387
6 Ga 0.083 0.250 0.895
7 Ga 0.417 0.750 0.395
8 Ga 0.436 0.750 0.887
9 Ga 0.564 0.250 0.113
10 Ga 0.583 0.250 0.605
11 Ga 0.917 0.750 0.105
12 Ga 0.936 0.750 0.613
13 O 0.031 0.750 0.783
14 O 0.082 0.250 0.570
15 O 0.115 0.750 0.024
16 O 0.203 0.750 0.341
17 O 0.297 0.250 0.841
18 O 0.385 0.250 0.524
19 O 0.418 0.750 0.070
20 O 0.469 0.250 0.283
21 O 0.531 0.750 0.717
22 O 0.582 0.250 0.930
23 O 0.615 0.750 0.476
24 O 0.703 0.750 0.159
25 O 0.797 0.250 0.659
26 O 0.885 0.250 0.976
27 O 0.918 0.750 0.430
28 O 0.969 0.250 0.217